Starting from a DFT-relaxed cell (GGA+U, Alexandria), the powder X-ray diffraction pattern of Ca2Al2FeSi4BHO16 was simulated for Cu Kα.

The 6 most intense peaks (2θ from 5° to 70°), most intense first:
- d = 2.837 Å, I = 100.0, (1 3 1)
- d = 3.481 Å, I = 73.7, (2 0 0)
- d = 3.202 Å, I = 63.5, (0 2 -2)
- d = 3.034 Å, I = 51.3, (2 0 -1)
- d = 2.923 Å, I = 36.6, (1 1 3)
- d = 2.175 Å, I = 29.1, (3 -1 0)

Atomic structure:
Unit cell a=7.2093 b=9.0769 c=9.3194 alpha=88.45 beta=77.35 gamma=81.75
Atoms (fractional coordinates):
Ca1 0.1853 0.4186 0.1001
Ca2 0.2517 0.8921 0.6532
Ca3 0.7483 0.1079 0.3468
Ca4 0.8147 0.5814 0.8999
Al1 0.0528 0.2454 0.8002
Al2 0.3514 0.0791 0.9361
Al3 0.6486 0.9209 0.0639
Al4 0.9472 0.7546 0.1998
Fe1 0.2330 0.6116 0.4102
Fe2 0.7670 0.3884 0.5898
Si1 0.2090 0.2658 0.4508
Si2 0.2197 0.9766 0.2750
Si3 0.3026 0.5104 0.7441
Si4 0.3580 0.7312 0.9798
Si5 0.6420 0.2688 0.0202
Si6 0.6974 0.4896 0.2559
Si7 0.7803 0.0234 0.7250
Si8 0.7910 0.7342 0.5492
B1 0.4617 0.2119 0.6350
B2 0.5383 0.7881 0.3650
H1 0.0104 0.8753 0.9581
H2 0.9896 0.1247 0.0419
O1 0.0211 0.9351 0.2446
O2 0.0510 0.3100 0.6040
O3 0.0964 0.1781 0.9936
O4 0.1241 0.4335 0.8438
O5 0.1350 0.1306 0.3718
O6 0.2049 0.6781 0.1234
O7 0.2274 0.4035 0.3391
O8 0.2363 0.6379 0.6332
O9 0.2774 0.8845 0.8993
O10 0.3250 0.1460 0.7462
O11 0.3289 0.8584 0.3812
O12 0.3805 0.0034 0.1269
O13 0.3982 0.5869 0.8650
O14 0.4177 0.1898 0.4884
O15 0.4355 0.2550 0.9837
O16 0.4677 0.3747 0.6588
O17 0.5323 0.6253 0.3412
O18 0.5645 0.7450 0.0163
O19 0.5823 0.8102 0.5116
O20 0.6018 0.4131 0.1350
O21 0.6195 0.9966 0.8731
O22 0.6711 0.1416 0.6188
O23 0.6750 0.8540 0.2538
O24 0.7226 0.1155 0.1007
O25 0.7637 0.3621 0.3668
O26 0.7726 0.5965 0.6609
O27 0.7951 0.3219 0.8766
O28 0.8650 0.8694 0.6282
O29 0.8759 0.5665 0.1562
O30 0.9036 0.8219 0.0064
O31 0.9490 0.6900 0.3960
O32 0.9789 0.0649 0.7554